(1)
For HfSc6Al2, a cell relaxed with GGA-PBE gives the computed XRD peak list in this record (Cu Ka).

Structure:
abc: 3.075 13.035 13.035
angles: 21.98 90.00 90.00
Element x y z (fractional)
Hf: 0.000 0.000 0.000
Sc: 0.000 0.330 0.330
Sc: 0.000 0.552 0.552
Sc: 0.000 0.681 0.681
Sc: 0.000 0.893 0.893
Sc: 0.500 0.106 0.106
Sc: 0.500 0.226 0.226
Al: 0.500 0.445 0.445
Al: 0.500 0.788 0.788

Largest 10 diffraction maxima, in order of rising 2θ, 2θ = 15–90°:
2θ/deg  d_spacing  intensity
18.2  4.878  41.1
20.7  4.294  30.7
29.9  2.990  24.2
35.9  2.498  100.0
36.2  2.485  41.4
36.4  2.468  74.0
42.5  2.127  26.2
51.9  1.760  23.4
65.2  1.432  20.8
72.4  1.305  19.6

(2)
For Te2MoSe, a cell relaxed with GGA-PBE gives the computed XRD peak list in this record (Cu Ka).

Structure:
abc: 3.151 3.151 10.638
angles: 90.00 90.00 90.00
Element x y z (fractional)
Te: 0.000 0.000 0.000
Te: 0.500 0.500 0.348
Mo: 0.000 0.000 0.517
Se: 0.500 0.500 0.656

Largest 10 diffraction maxima, in order of rising 2θ, 2θ = 15–90°:
2θ/deg  d_spacing  intensity
16.7  5.319  35.1
25.1  3.546  29.9
29.6  3.021  33.7
33.0  2.711  100.0
38.2  2.355  22.7
40.5  2.228  58.1
44.6  2.032  65.7
67.5  1.387  21.2
68.9  1.362  22.9
76.5  1.245  26.2